Theoretical X-ray powder pattern
Compound: HfP2O7
Radiation: Cu Kα (weighted mean of Kα1 and Kα2)
Structure: a crystal structure in the Materials Project, relaxed with GGA-PBE
Neutral-atom scattering factors, no anomalous dispersion.

Unit cell a=5.2266 b=13.0609 c=9.7723 alpha=90.00 beta=121.31 gamma=90.00
Sites, in units of the cell vectors:
Hf1 0.1251 0.1502 0.3416
Hf2 0.1251 0.3498 0.8416
Hf3 0.8749 0.6502 0.1584
Hf4 0.8749 0.8498 0.6584
P1 0.2845 0.6887 0.5680
P2 0.2845 0.8113 0.0680
P3 0.3976 0.0223 0.6999
P4 0.3976 0.4777 0.1999
P5 0.6024 0.5223 0.8001
P6 0.6024 0.9777 0.3001
P7 0.7155 0.1887 0.9320
P8 0.7155 0.3113 0.4320
O1 0.0285 0.6788 0.3951
O2 0.0285 0.8212 0.8951
O3 0.1788 0.5287 0.2369
O4 0.1788 0.9713 0.7369
O5 0.1905 0.7494 0.1673
O6 0.1905 0.7506 0.6673
O7 0.2535 0.1075 0.5746
O8 0.2535 0.3925 0.0746
O9 0.3463 0.5730 0.6346
O10 0.3463 0.9270 0.1346
O11 0.4278 0.2295 0.9168
O12 0.4278 0.2705 0.4168
O13 0.4415 0.0553 0.3458
O14 0.4415 0.4447 0.8458
O15 0.5585 0.5553 0.1542
O16 0.5585 0.9447 0.6542
O17 0.5722 0.7295 0.5832
O18 0.5722 0.7705 0.0832
O19 0.6537 0.0730 0.8654
O20 0.6537 0.4270 0.3654
O21 0.7465 0.6075 0.9254
O22 0.7465 0.8925 0.4254
O23 0.8095 0.2494 0.3327
O24 0.8095 0.2506 0.8327
O25 0.8212 0.0287 0.2631
O26 0.8212 0.4713 0.7631
O27 0.9715 0.1788 0.1049
O28 0.9715 0.3212 0.6049

The 10 most intense peaks (5 to 70 degrees two-theta), by intensity:
| 2theta | d/Å | intensity | index |
| --- | --- | --- | --- |
| 21.78 | 4.080 | 100 | 1 2 -1 |
| 22.36 | 3.976 | 51 | 0 1 2 |
| 17.24 | 5.144 | 50 | 0 2 1 |
| 34.18 | 2.624 | 35 | 1 3 1 |
| 12.58 | 7.035 | 23 | 0 1 1 |
| 37.52 | 2.397 | 12 | 1 1 -4 |
| 38.42 | 2.343 | 12 | 0 3 3 |
| 54.03 | 1.697 | 12 | 2 5 0 |
| 32.91 | 2.722 | 12 | 0 1 3 |
| 34.55 | 2.596 | 11 | 1 3 -3 |